Simulated powder diffraction line list
Compound: PaGe2
Radiation: Cu Kα, 1.54184 Å
Structure: a structure optimized by DFT (GGA-PBE)
Peak positions follow from Bragg's law for the DFT cell and can differ from measured ones.

Atomic structure:
Unit cell a=4.0959 b=14.9195 c=4.1663 alpha=90.00 beta=90.00 gamma=90.00
Space group Cmmm (No. 65)
Asymmetric unit:
Pa 0.0000 0.1412 0.0000
Ge 0.0000 0.0000 0.5000
Ge 0.0000 0.3119 0.5000
Ge 0.0000 0.5000 0.0000

Top 10 peaks for 10° ≤ 2θ ≤ 80°, by angle:
21.33 deg, I = 17
22.51 deg, I = 17
28.23 deg, I = 13
32.21 deg, I = 24
35.65 deg, I = 100
36.12 deg, I = 13
43.43 deg, I = 19
44.23 deg, I = 16
48.13 deg, I = 12
74.64 deg, I = 12

***

Simulated powder diffraction line list
Compound: AcSbPtBr
Radiation: Cu Kα, 1.54184 Å
Structure: a structure optimized by DFT (GGA-PBE)
Peak positions follow from Bragg's law for the DFT cell and can differ from measured ones.

Atomic structure:
Unit cell a=4.6230 b=4.6230 c=42.2289 alpha=90.00 beta=90.00 gamma=120.00
Space group R-3m (No. 166, hexagonal axes)
Asymmetric unit:
Ac 0.0000 0.0000 0.0816
Sb 0.0000 0.0000 0.3054
Pt 0.0000 0.0000 0.3720
Br 0.0000 0.0000 0.2079

Top 10 peaks for 10° ≤ 2θ ≤ 80°, by angle:
12.58 deg, I = 24
23.77 deg, I = 50
26.72 deg, I = 87
30.77 deg, I = 29
32.31 deg, I = 25
35.59 deg, I = 54
38.96 deg, I = 100
39.51 deg, I = 20
55.84 deg, I = 31
66.82 deg, I = 19

***

Simulated powder diffraction line list
Compound: SmHgAu4
Radiation: Cu Kα, 1.54184 Å
Structure: a structure optimized by DFT (GGA-PBE)
Peak positions follow from Bragg's law for the DFT cell and can differ from measured ones.

Atomic structure:
Unit cell a=4.7879 b=4.7879 c=6.5455 alpha=90.00 beta=90.00 gamma=120.00
Space group P6/mmm (No. 191)
Asymmetric unit:
Sm 0.0000 0.0000 0.0000
Hg 0.0000 0.0000 0.5000
Au 0.3333 0.6667 0.2550

Top 10 peaks for 10° ≤ 2θ ≤ 80°, by angle:
27.25 deg, I = 11
34.93 deg, I = 100
37.57 deg, I = 97
47.03 deg, I = 16
52.23 deg, I = 32
56.21 deg, I = 10
66.10 deg, I = 32
67.80 deg, I = 18
69.59 deg, I = 32
74.53 deg, I = 4

***

Simulated powder diffraction line list
Compound: Li3InAg3
Radiation: Cu Kα, 1.54184 Å
Structure: a structure optimized by DFT (GGA-PBE)
Peak positions follow from Bragg's law for the DFT cell and can differ from measured ones.

Atomic structure:
Unit cell a=9.1111 b=9.3571 c=5.9914 alpha=90.00 beta=90.00 gamma=90.00
Space group Cmmm (No. 65)
Asymmetric unit:
Li 0.0000 0.2192 0.0000
Li 0.0000 0.2550 0.5000
Li 0.2473 0.0000 0.0000
In 0.1930 0.0000 0.5000
Ag 0.0000 0.5000 0.2470
Ag 0.2500 0.2500 0.2400

Top 10 peaks for 10° ≤ 2θ ≤ 80°, by angle:
13.56 deg, I = 20
19.49 deg, I = 34
27.32 deg, I = 43
30.96 deg, I = 26
32.90 deg, I = 23
35.59 deg, I = 19
38.48 deg, I = 34
39.57 deg, I = 19
40.89 deg, I = 100
71.24 deg, I = 18

***

Simulated powder diffraction line list
Compound: Ga2CuS4
Radiation: Cu Kα, 1.54184 Å
Structure: a structure optimized by DFT (GGA-PBE)
Peak positions follow from Bragg's law for the DFT cell and can differ from measured ones.

Atomic structure:
Unit cell a=5.1160 b=5.1160 c=5.5515 alpha=90.00 beta=90.00 gamma=90.00
Space group P-42m (No. 111)
Asymmetric unit:
Ga 0.0000 0.5000 0.0000
Cu 0.0000 0.0000 0.5000
S 0.2582 0.2582 0.7429

Top 10 peaks for 10° ≤ 2θ ≤ 80°, by angle:
15.96 deg, I = 9
17.33 deg, I = 11
23.65 deg, I = 13
24.61 deg, I = 7
29.47 deg, I = 100
48.39 deg, I = 44
50.45 deg, I = 19
55.80 deg, I = 15
59.52 deg, I = 24
78.54 deg, I = 11

***

Simulated powder diffraction line list
Compound: Ac2PuP2N6
Radiation: Cu Kα, 1.54184 Å
Structure: a structure optimized by DFT (GGA-PBE)
Peak positions follow from Bragg's law for the DFT cell and can differ from measured ones.

Atomic structure:
Unit cell a=5.6627 b=5.6627 c=17.9421 alpha=90.00 beta=90.00 gamma=120.00
Space group R-3m (No. 166, hexagonal axes)
Asymmetric unit:
Ac 0.0000 0.0000 0.2128
Pu 0.0000 0.0000 0.0000
P 0.0000 0.0000 0.3986
N 0.0104 0.5052 0.2445

Top 10 peaks for 10° ≤ 2θ ≤ 80°, by angle:
18.76 deg, I = 51
26.94 deg, I = 49
30.88 deg, I = 100
31.60 deg, I = 96
41.99 deg, I = 24
44.77 deg, I = 38
55.83 deg, I = 38
56.28 deg, I = 20
56.45 deg, I = 24
74.62 deg, I = 17